No. 1
PmGeRu2N: computed powder diffractogram (λ = 1.5418 Å (Cu Kα)), based on a crystal structure in Alexandria, relaxed with PBE.

```
PmGeRu2N
1.0
1.9401 -5.6647 0.0000
1.9401 5.6647 0.0000
0.0000 0.0000 7.3157
Pm Ge Ru N
2 2 4 2
Cartesian
1.9401 5.1292 5.4868
1.9401 -5.1292 1.8289
1.9401 3.0538 1.8289
1.9401 -3.0538 5.4868
1.9401 1.8286 4.0487
1.9401 1.8286 6.9249
1.9401 -1.8286 0.3908
1.9401 -1.8286 3.2671
1.9401 0.0000 0.0000
1.9401 0.0000 3.6579
```

The 10 most intense peaks (2θ from 10° to 90°), in order of rising 2θ:
d = 2.706 Å, 33.10°, intensity 60; d = 2.641 Å, 33.94°, intensity 43; d = 2.591 Å, 34.62°, intensity 100; d = 2.538 Å, 35.36°, intensity 56; d = 2.240 Å, 40.27°, intensity 48; d = 2.031 Å, 44.61°, intensity 25; d = 1.940 Å, 46.83°, intensity 33; d = 1.564 Å, 59.08°, intensity 17; d = 1.526 Å, 60.68°, intensity 19; d = 1.466 Å, 63.43°, intensity 25

***

No. 2
Pm2TiGeN5: computed powder diffractogram (λ = 1.5418 Å (Cu Kα)), based on a crystal structure in Alexandria, relaxed with PBE.

```
Pm2TiGeN5
1.0
1.6360 -7.0313 0.0000
1.6360 7.0313 0.0000
0.0000 0.0000 10.0241
Pm Ti Ge N
4 2 2 10
Cartesian
1.6360 5.4335 5.0120
1.6360 5.1970 1.1662
1.6360 -5.1970 6.1782
1.6360 -5.4335 0.0000
1.6360 3.9341 8.2998
1.6360 -3.9341 3.2878
1.6360 0.7485 2.7148
1.6360 -0.7485 7.7269
1.6360 6.3307 8.7092
1.6360 2.9806 4.6350
1.6360 2.5802 1.9705
1.6360 2.0809 8.1846
1.6360 -0.0048 1.0329
1.6360 0.0048 6.0449
1.6360 -2.0809 3.1725
1.6360 -2.5802 6.9825
1.6360 -2.9806 9.6470
1.6360 -6.3307 3.6972
```

The 10 most intense peaks (2θ from 10° to 90°), in order of rising 2θ:
d = 3.516 Å, 25.33°, intensity 35; d = 3.018 Å, 29.60°, intensity 83; d = 2.878 Å, 31.07°, intensity 50; d = 2.687 Å, 33.35°, intensity 100; d = 2.592 Å, 34.61°, intensity 31; d = 2.306 Å, 39.06°, intensity 53; d = 2.282 Å, 39.49°, intensity 26; d = 1.963 Å, 46.26°, intensity 28; d = 1.606 Å, 57.37°, intensity 22; d = 1.524 Å, 60.79°, intensity 28

***

No. 3
PmY2GeN4: computed powder diffractogram (λ = 1.5418 Å (Cu Kα)), based on a crystal structure in Alexandria, relaxed with PBE.

```
PmY2GeN4
1.0
1.7690 -5.7162 0.0000
1.7690 5.7162 0.0000
0.0000 0.0000 11.6582
Pm Y Ge N
2 4 2 8
Cartesian
1.7690 4.5685 8.7437
1.7690 -4.5685 2.9146
1.7690 1.4907 6.3361
1.7690 1.4907 11.1513
1.7690 -1.4907 0.5069
1.7690 -1.4907 5.3222
1.7690 3.8670 2.9146
1.7690 -3.8670 8.7437
0.0000 0.0000 0.0000
0.0000 0.0000 5.8291
1.7690 2.6346 1.4852
1.7690 2.6346 4.3440
1.7690 0.8692 8.7437
1.7690 -0.8692 2.9146
1.7690 -2.6346 7.3143
1.7690 -2.6346 10.1731
```

The 10 most intense peaks (2θ from 10° to 90°), in order of rising 2θ:
d = 3.214 Å, 27.76°, intensity 40; d = 2.924 Å, 30.57°, intensity 100; d = 2.915 Å, 30.68°, intensity 41; d = 2.858 Å, 31.30°, intensity 40; d = 2.531 Å, 35.47°, intensity 45; d = 2.369 Å, 37.98°, intensity 65; d = 2.041 Å, 44.39°, intensity 22; d = 1.824 Å, 50.01°, intensity 20; d = 1.769 Å, 51.67°, intensity 20; d = 1.734 Å, 52.80°, intensity 22

***

No. 4
Pr3GeN5: computed powder diffractogram (λ = 1.5418 Å (Cu Kα)), based on a crystal structure in Alexandria, relaxed with PBE.

```
Pr3GeN5
1.0
-3.4167 3.4167 5.7387
3.4167 -3.4167 5.7387
3.4167 3.4167 -5.7387
Pr Ge N
6 2 10
Cartesian
4.6161 1.1994 0.0000
0.0000 0.0000 2.8694
1.1994 2.2173 0.0000
2.2173 1.1994 5.7387
0.0000 0.0000 8.6081
-1.1994 2.2173 5.7387
3.4167 0.0000 2.8694
0.0000 3.4167 2.8694
0.0000 0.0000 0.0000
2.4007 1.0160 -1.6860
2.4007 -1.0160 4.0527
2.4007 1.0160 1.6860
2.4007 -1.0160 7.4248
0.0000 0.0000 5.7387
1.0160 4.4327 -1.6860
1.0160 2.4007 4.0527
1.0160 4.4327 1.6860
1.0160 2.4007 7.4248
```

The 10 most intense peaks (2θ from 10° to 90°), in order of rising 2θ:
d = 3.696 Å, 24.08°, intensity 14; d = 2.953 Å, 30.27°, intensity 47; d = 2.936 Å, 30.45°, intensity 100; d = 2.869 Å, 31.17°, intensity 38; d = 2.416 Å, 37.22°, intensity 24; d = 2.388 Å, 37.67°, intensity 49; d = 2.161 Å, 41.80°, intensity 17; d = 1.848 Å, 49.31°, intensity 20; d = 1.835 Å, 49.67°, intensity 16; d = 1.669 Å, 55.02°, intensity 21

***

No. 5
RbGe2N: computed powder diffractogram (λ = 1.5418 Å (Cu Kα)), based on a crystal structure in Alexandria, relaxed with PBE.

```
RbGe2N
1.0
-3.2454 3.2454 4.9201
3.2454 -3.2454 4.9201
3.2454 3.2454 -4.9201
Rb Ge N
2 4 2
Cartesian
0.0000 0.0000 0.0000
0.0000 3.2454 2.4601
1.6227 -0.6081 3.6901
2.6373 1.6227 1.2300
1.6227 3.8534 -1.2300
0.6081 1.6227 6.1502
3.2454 0.0000 2.4601
0.0000 0.0000 4.9201
```

The 10 most intense peaks (2θ from 10° to 90°), in order of rising 2θ:
d = 3.356 Å, 26.56°, intensity 80; d = 2.928 Å, 30.54°, intensity 42; d = 2.784 Å, 32.15°, intensity 100; d = 2.709 Å, 33.07°, intensity 28; d = 2.174 Å, 41.54°, intensity 14; d = 2.053 Å, 44.12°, intensity 15; d = 1.960 Å, 46.31°, intensity 21; d = 1.894 Å, 48.03°, intensity 19; d = 1.678 Å, 54.70°, intensity 14; d = 1.577 Å, 58.53°, intensity 22

***

No. 6
ThGeRhN: computed powder diffractogram (λ = 1.5418 Å (Cu Kα)), based on a crystal structure in Alexandria, relaxed with PBE.

```
ThGeRhN
1.0
4.1521 0.0000 0.0000
0.0000 4.1521 0.0000
0.0000 0.0000 8.4678
Th Ge Rh N
2 2 2 2
Cartesian
1.0380 1.0380 1.1215
3.1141 3.1141 7.3463
1.0380 1.0380 5.5535
3.1141 3.1141 2.9143
1.0380 3.1141 4.2339
3.1141 1.0380 4.2339
1.0380 3.1141 0.0000
3.1141 1.0380 0.0000
```

The 10 most intense peaks (2θ from 10° to 90°), in order of rising 2θ:
d = 3.728 Å, 23.87°, intensity 21; d = 2.964 Å, 30.15°, intensity 100; d = 2.936 Å, 30.45°, intensity 18; d = 2.774 Å, 32.27°, intensity 39; d = 2.413 Å, 37.27°, intensity 19; d = 2.076 Å, 43.60°, intensity 38; d = 1.717 Å, 53.35°, intensity 37; d = 1.701 Å, 53.92°, intensity 40; d = 1.468 Å, 63.36°, intensity 13; d = 1.116 Å, 87.40°, intensity 18

***

No. 7
SmGeRu2N: computed powder diffractogram (λ = 1.5418 Å (Cu Kα)), based on a crystal structure in Alexandria, relaxed with PBE.

```
SmGeRu2N
1.0
1.9297 -5.6683 0.0000
1.9297 5.6683 0.0000
0.0000 0.0000 7.3082
Sm Ge Ru N
2 2 4 2
Cartesian
1.9297 5.1381 5.4812
1.9297 -5.1381 1.8271
1.9297 3.0506 1.8271
1.9297 -3.0506 5.4812
1.9297 1.8274 4.0421
1.9297 1.8274 6.9202
1.9297 -1.8274 0.3880
1.9297 -1.8274 3.2661
1.9297 0.0000 0.0000
1.9297 0.0000 3.6541
```

The 10 most intense peaks (2θ from 10° to 90°), in order of rising 2θ:
d = 2.700 Å, 33.18°, intensity 60; d = 2.642 Å, 33.93°, intensity 43; d = 2.584 Å, 34.72°, intensity 100; d = 2.533 Å, 35.44°, intensity 56; d = 2.239 Å, 40.28°, intensity 49; d = 2.027 Å, 44.71°, intensity 25; d = 1.930 Å, 47.09°, intensity 33; d = 1.558 Å, 59.30°, intensity 17; d = 1.525 Å, 60.75°, intensity 19; d = 1.462 Å, 63.64°, intensity 39

***

No. 8
Sc5Ge2N: computed powder diffractogram (λ = 1.5418 Å (Cu Kα)), based on a crystal structure in Alexandria, relaxed with PBE.

```
Sc5Ge2N
1.0
0.0000 4.4747 6.6522
2.5721 0.0000 6.6522
2.5721 4.4747 0.0000
Sc Ge N
5 2 1
Cartesian
0.0000 0.0000 0.0000
2.5721 3.0406 5.0703
2.5721 3.0406 8.2341
2.5721 5.9088 5.0703
2.5721 5.9088 8.2341
2.5721 4.4747 2.6318
2.5721 4.4747 10.6726
2.5721 4.4747 6.6522
```

The 10 most intense peaks (2θ from 10° to 90°), in order of rising 2θ:
d = 4.475 Å, 19.84°, intensity 39; d = 2.669 Å, 33.57°, intensity 35; d = 2.572 Å, 34.88°, intensity 78; d = 2.533 Å, 35.43°, intensity 88; d = 2.285 Å, 39.43°, intensity 100; d = 2.230 Å, 40.44°, intensity 69; d = 1.856 Å, 49.07°, intensity 16; d = 1.852 Å, 49.19°, intensity 23; d = 1.427 Å, 65.41°, intensity 16; d = 1.423 Å, 65.60°, intensity 21

***

No. 9
Sc4SnGeN: computed powder diffractogram (λ = 1.5418 Å (Cu Kα)), based on a crystal structure in Alexandria, relaxed with PBE.

```
Sc4SnGeN
1.0
3.0583 -7.3309 0.0000
3.0583 7.3309 0.0000
0.0000 0.0000 6.1209
Sc Sn Ge N
8 2 2 2
Cartesian
1.5291 3.6654 0.0000
1.5291 3.6654 3.0604
3.0583 6.0458 4.5907
3.0583 1.4047 4.5907
1.5291 -3.6654 0.0000
1.5291 -3.6654 3.0604
3.0583 -1.4047 1.5302
3.0583 -6.0458 1.5302
3.0583 1.5099 1.5302
3.0583 -1.5099 4.5907
3.0583 5.7022 1.5302
3.0583 -5.7022 4.5907
3.0583 3.7011 4.5907
3.0583 -3.7011 1.5302
```

The 10 most intense peaks (2θ from 10° to 90°), in order of rising 2θ:
d = 3.240 Å, 27.53°, intensity 27; d = 3.059 Å, 29.19°, intensity 48; d = 2.823 Å, 31.69°, intensity 44; d = 2.444 Å, 36.78°, intensity 29; d = 2.349 Å, 38.32°, intensity 100; d = 2.163 Å, 41.75°, intensity 61; d = 1.620 Å, 56.84°, intensity 30; d = 1.530 Å, 60.53°, intensity 19; d = 1.322 Å, 71.33°, intensity 17; d = 1.282 Å, 73.95°, intensity 28

***

No. 10
Sm5Ge2N: computed powder diffractogram (λ = 1.5418 Å (Cu Kα)), based on a crystal structure in Alexandria, relaxed with PBE.

```
Sm5Ge2N
1.0
0.0000 5.2204 7.3114
2.6640 0.0000 7.3114
2.6640 5.2204 0.0000
Sm Ge N
5 2 1
Cartesian
0.0000 0.0000 0.0000
2.6640 3.6436 5.4979
2.6640 3.6436 9.1248
2.6640 6.7972 5.4979
2.6640 6.7972 9.1248
2.6640 5.2204 2.8614
2.6640 5.2204 11.7614
2.6640 5.2204 7.3114
```

The 10 most intense peaks (2θ from 10° to 90°), in order of rising 2θ:
d = 3.656 Å, 24.35°, intensity 22; d = 3.400 Å, 26.21°, intensity 27; d = 2.994 Å, 29.84°, intensity 24; d = 2.858 Å, 31.30°, intensity 100; d = 2.664 Å, 33.64°, intensity 49; d = 2.501 Å, 35.91°, intensity 30; d = 2.490 Å, 36.07°, intensity 57; d = 2.124 Å, 42.56°, intensity 27; d = 1.661 Å, 55.31°, intensity 25; d = 1.573 Å, 58.71°, intensity 19

***

No. 11
Sm8Ge3Te4N: computed powder diffractogram (λ = 1.5418 Å (Cu Kα)), based on a crystal structure in Alexandria, relaxed with PBE.

```
Sm8Ge3Te4N
1.0
7.3014 -4.2165 0.0000
7.3014 4.2165 0.0000
-4.8666 0.0000 7.2170
Sm Ge Te N
8 3 4 1
Cartesian
-0.1507 0.0000 5.1088
3.7225 2.2313 5.1153
6.0137 2.2313 2.1017
2.4340 0.0000 1.9732
7.3021 0.0000 5.2438
3.7225 -2.2313 5.1153
6.0137 -2.2313 2.1017
9.8869 0.0000 2.1082
1.2174 2.1082 3.6085
1.2174 -2.1082 3.6085
4.8681 0.0000 3.6085
0.0000 0.0000 0.0000
3.6507 2.1082 0.0000
3.6507 -2.1082 0.0000
7.3014 0.0000 0.0000
-2.4333 0.0000 3.6085
```

The 10 most intense peaks (2θ from 10° to 90°), in order of rising 2θ:
d = 3.027 Å, 29.51°, intensity 100; d = 2.791 Å, 32.07°, intensity 11; d = 2.174 Å, 41.53°, intensity 33; d = 2.108 Å, 42.90°, intensity 37; d = 1.730 Å, 52.91°, intensity 15; d = 1.585 Å, 58.19°, intensity 8; d = 1.514 Å, 61.22°, intensity 15; d = 1.371 Å, 68.45°, intensity 10; d = 1.337 Å, 70.41°, intensity 16; d = 1.230 Å, 77.65°, intensity 12

***

No. 12
Sr2GeN2: computed powder diffractogram (λ = 1.5418 Å (Cu Kα)), based on a crystal structure in Alexandria, relaxed with PBE.

```
Sr2GeN2
1.0
11.8627 0.0000 0.0000
0.0000 11.8627 0.0000
0.0000 0.0000 5.4317
Sr Ge N
16 8 16
Cartesian
0.2589 4.1341 0.0000
0.9508 1.5878 2.7159
1.5878 10.9119 0.0000
1.7972 5.6724 2.7159
4.1341 11.6038 2.7159
4.3436 4.9806 0.0000
4.9806 7.5191 2.7159
5.6724 10.0655 0.0000
6.1902 1.7972 0.0000
6.8821 4.3436 2.7159
7.5191 6.8821 0.0000
7.7285 0.2589 2.7159
10.0655 6.1902 2.7159
10.2749 0.9508 0.0000
10.9119 10.2749 2.7159
11.6038 7.7285 0.0000
1.7887 8.8237 2.7159
2.8924 7.7200 0.0000
3.0390 1.7887 0.0000
4.1427 2.8924 2.7159
7.7200 8.9703 2.7159
8.8237 10.0740 0.0000
8.9703 4.1427 0.0000
10.0740 3.0390 2.7159
0.1305 7.8918 2.7159
1.1725 1.5871 0.0000
1.5871 10.6902 2.7159
1.9605 6.0619 0.0000
3.9709 0.1305 0.0000
4.3442 4.7589 2.7159
4.7589 7.5184 0.0000
5.8008 1.9605 2.7159
6.0619 9.9022 2.7159
7.1038 4.3442 0.0000
7.5184 7.1038 2.7159
7.8918 11.7321 0.0000
9.9022 5.8008 0.0000
10.2756 1.1725 2.7159
10.6902 10.2756 0.0000
11.7321 3.9709 2.7159
```

The 10 most intense peaks (2θ from 10° to 90°), in order of rising 2θ:
d = 3.087 Å, 28.93°, intensity 80; d = 2.877 Å, 31.08°, intensity 30; d = 2.814 Å, 31.80°, intensity 100; d = 2.716 Å, 32.98°, intensity 79; d = 2.603 Å, 34.46°, intensity 41; d = 2.326 Å, 38.70°, intensity 17; d = 2.203 Å, 40.97°, intensity 15; d = 1.975 Å, 45.95°, intensity 21; d = 1.630 Å, 56.47°, intensity 27; d = 1.586 Å, 58.18°, intensity 24